Structure and simulated powder X-ray diffraction pattern of CsMo2P3O13 (a cell relaxed with PBE+U; Cu Kα).
Lines closer than 0.1° are merged.

Cell and atoms:
a b c (Å): 6.454 9.902 10.281
angles (deg): 83.21 82.80 72.12
Space group P1 (No. 1)
Inequivalent atoms, fractional coordinates:
Cs1 0.000 0.000 0.000 x1
Cs2 0.028 0.448 0.528 x1
Mo1 0.365 0.350 0.856 x1
Mo2 0.369 0.078 0.293 x1
Mo3 0.665 0.802 0.776 x1
Mo4 0.669 0.531 0.212 x1
P1 0.221 0.716 0.711 x1
P2 0.222 0.438 0.171 x1
P3 0.507 0.139 0.590 x1
P4 0.527 0.742 0.479 x1
P5 0.813 0.165 0.359 x1
P6 0.813 0.442 0.897 x1
O1 0.048 0.348 0.852 x1
O2 0.053 0.074 0.344 x1
O3 0.242 0.281 0.215 x1
O4 0.256 0.558 0.742 x1
O5 0.270 0.462 0.020 x1
O6 0.291 0.742 0.556 x1
O7 0.350 0.158 0.484 x1
O8 0.352 0.779 0.790 x1
O9 0.375 0.488 0.245 x1
O10 0.403 0.999 0.150 x1
O11 0.434 0.270 0.669 x1
O12 0.466 0.188 0.938 x1
O13 0.492 0.882 0.396 x1
O14 0.539 0.000 0.675 x1
O15 0.569 0.692 0.129 x1
O16 0.601 0.612 0.399 x1
O17 0.633 0.881 0.919 x1
O18 0.661 0.390 0.823 x1
O19 0.681 0.105 0.278 x1
O20 0.682 0.724 0.585 x1
O21 0.743 0.136 0.514 x1
O22 0.766 0.417 0.048 x1
O23 0.779 0.324 0.330 x1
O24 0.793 0.599 0.852 x1
O25 0.981 0.808 0.725 x1
O26 0.987 0.530 0.216 x1

Main lines, in order of rising 2θ (10 to 80 degrees two-theta):
(hkl)	2θ (°)	d (Å)	I/Imax
1 1 -1	18.23	4.866	65.2
1 2 0	20.14	4.408	42.4
0 2 -1	21.51	4.131	100.0
-1 1 1	21.65	4.104	81.3
1 2 2	24.71	3.603	50.1
0 1 3	27.21	3.277	88.2
2 1 0	27.88	3.200	35.4
2 1 1	28.14	3.171	86.2